Theoretical XRD peak list of MgCo4Te for Cu Kα, 1.54184 Å, from a structure optimized by DFT (PBE).
Kinematic intensities with the Lorentz-polarization factor, no thermal factor.

Structure:
```
data_MgCo4Te
_symmetry_space_group_name_H-M 'F -4 3 m'
_symmetry_Int_Tables_number 216
_symmetry_space_group_name_Hall 'F -4 2 3'
_cell_length_a 6.970
_cell_length_b 6.970
_cell_length_c 6.970
_cell_angle_alpha 90.00
_cell_angle_beta 90.00
_cell_angle_gamma 90.00
loop_
_atom_site_label
_atom_site_type_symbol
_atom_site_fract_x
_atom_site_fract_y
_atom_site_fract_z
Mg1 Mg 0.000 0.000 0.000
Co1 Co 0.126 0.126 0.374
Te1 Te 0.250 0.250 0.750
```

Principal peaks in the range 10° ≤ 2θ ≤ 80°, by intensity:
2.102 Å, I = 100, hkl 3 1 1
2.012 Å, I = 36, hkl 2 2 2
2.464 Å, I = 31, hkl 2 2 0
1.341 Å, I = 29, hkl 5 1 1
1.232 Å, I = 22, hkl 4 4 0
3.485 Å, I = 18, hkl 2 0 0
4.024 Å, I = 17, hkl 1 1 1
1.423 Å, I = 11, hkl 4 2 2
1.559 Å, I = 6, hkl 4 2 0
1.599 Å, I = 4, hkl 3 3 1

Theoretical XRD peak list of ThMg2Co9 for Cu Kα, 1.54184 Å, from a structure optimized by DFT (PBE).
Kinematic intensities with the Lorentz-polarization factor, no thermal factor.

Structure:
```
data_ThMg2Co9
_symmetry_space_group_name_H-M 'R -3 m'
_symmetry_Int_Tables_number 166
_symmetry_space_group_name_Hall '-R 3 2"'
_cell_length_a 4.8943
_cell_length_b 4.8943
_cell_length_c 23.8356
_cell_angle_alpha 90.00
_cell_angle_beta 90.00
_cell_angle_gamma 120.00
loop_
_atom_site_label
_atom_site_type_symbol
_atom_site_fract_x
_atom_site_fract_y
_atom_site_fract_z
Th1 Th 0.0000 0.0000 0.0000
Mg1 Mg 0.0000 0.0000 0.1444
Co1 Co 0.0000 0.0000 0.3359
Co2 Co 0.0000 0.0000 0.5000
Co3 Co 0.0072 0.5036 0.9144
```

Principal peaks in the range 10° ≤ 2θ ≤ 80°, by intensity:
2.084 Å, I = 100, hkl 1 1 6
7.945 Å, I = 53, hkl 0 0 3
3.454 Å, I = 31, hkl 1 0 4
2.111 Å, I = 26, hkl 0 2 1
1.332 Å, I = 26, hkl 0 3 6
2.447 Å, I = 23, hkl 1 1 0
2.652 Å, I = 22, hkl 0 0 9
2.437 Å, I = 21, hkl 0 1 8
2.339 Å, I = 21, hkl 1 1 3
1.986 Å, I = 21, hkl 0 0 12

Theoretical XRD peak list of TmMgCo for Cu Kα, 1.54184 Å, from a structure optimized by DFT (PBE).
Kinematic intensities with the Lorentz-polarization factor, no thermal factor.

Structure:
```
data_TmMgCo
_symmetry_space_group_name_H-M 'P 62 2 2'
_symmetry_Int_Tables_number 180
_symmetry_space_group_name_Hall 'P 62 2 (0 0 4)'
_cell_length_a 6.2708
_cell_length_b 6.2708
_cell_length_c 11.3776
_cell_angle_alpha 90.00
_cell_angle_beta 90.00
_cell_angle_gamma 120.00
loop_
_atom_site_label
_atom_site_type_symbol
_atom_site_fract_x
_atom_site_fract_y
_atom_site_fract_z
Tm1 Tm 0.0000 0.5000 0.3860
Mg1 Mg 0.0000 0.0000 0.1667
Mg2 Mg 0.0000 0.5000 0.6667
Co1 Co 0.2036 0.6018 0.1667
```

Principal peaks in the range 10° ≤ 2θ ≤ 80°, by intensity:
2.715 Å, I = 100, hkl 2 0 0
5.431 Å, I = 88, hkl 1 0 0
3.928 Å, I = 75, hkl 1 0 2
1.931 Å, I = 59, hkl 2 1 2
2.520 Å, I = 57, hkl 1 0 4
2.746 Å, I = 38, hkl 1 1 2
4.901 Å, I = 31, hkl 1 0 1
2.099 Å, I = 30, hkl 1 0 5
2.208 Å, I = 30, hkl 2 0 3
2.107 Å, I = 29, hkl 1 1 4

Theoretical XRD peak list of Tm5Mg2Co for Cu Kα, 1.54184 Å, from a structure optimized by DFT (PBE).
Kinematic intensities with the Lorentz-polarization factor, no thermal factor.

Structure:
```
data_Tm5Mg2Co
_symmetry_space_group_name_H-M 'C m c m'
_symmetry_Int_Tables_number 63
_symmetry_space_group_name_Hall '-C 2c 2'
_cell_length_a 4.697
_cell_length_b 10.483
_cell_length_c 16.333
_cell_angle_alpha 90.00
_cell_angle_beta 90.00
_cell_angle_gamma 90.00
loop_
_atom_site_label
_atom_site_type_symbol
_atom_site_fract_x
_atom_site_fract_y
_atom_site_fract_z
Tm1 Tm 0.000 0.052 0.111
Tm2 Tm 0.000 0.351 0.036
Tm3 Tm 0.000 0.448 0.250
Mg1 Mg 0.000 0.258 0.664
Co1 Co 0.000 0.178 0.250
```

Principal peaks in the range 10° ≤ 2θ ≤ 80°, by intensity:
2.956 Å, I = 100, hkl 1 1 4
2.652 Å, I = 55, hkl 1 3 2
2.349 Å, I = 40, hkl 2 0 0
2.763 Å, I = 38, hkl 1 3 1
2.361 Å, I = 34, hkl 0 4 3
1.480 Å, I = 34, hkl 1 5 7
1.665 Å, I = 32, hkl 2 4 3
2.598 Å, I = 31, hkl 1 1 5
4.146 Å, I = 29, hkl 1 1 1
2.772 Å, I = 23, hkl 0 2 5

Theoretical XRD peak list of TmMgCo10 for Cu Kα, 1.54184 Å, from a structure optimized by DFT (PBE).
Kinematic intensities with the Lorentz-polarization factor, no thermal factor.

Structure:
```
data_TmMgCo10
_symmetry_space_group_name_H-M 'P m m m'
_symmetry_Int_Tables_number 47
_cell_length_a 3.990
_cell_length_b 4.787
_cell_length_c 8.367
_cell_angle_alpha 90.00
_cell_angle_beta 90.00
_cell_angle_gamma 90.00
loop_
_symmetry_equiv_pos_as_xyz
'x,y,z'
'-x,-y,-z'
'-x,-y,z'
'x,y,-z'
'x,-y,-z'
'-x,y,z'
'-x,y,-z'
'x,-y,z'
loop_
_atom_site_label
_atom_site_type_symbol
_atom_site_fract_x
_atom_site_fract_y
_atom_site_fract_z
Tm1 Tm 0.000 0.000 0.000
Mg1 Mg 0.000 0.500 0.500
Co1 Co 0.000 0.000 0.342
Co2 Co 0.000 0.500 0.184
Co3 Co 0.500 0.000 0.500
Co4 Co 0.500 0.249 0.250
Co5 Co 0.500 0.500 0.000
```

Principal peaks in the range 10° ≤ 2θ ≤ 80°, by intensity:
2.063 Å, I = 100, hkl 1 1 3
1.995 Å, I = 52, hkl 2 0 0
2.053 Å, I = 51, hkl 1 2 0
8.367 Å, I = 38, hkl 0 0 1
2.878 Å, I = 34, hkl 1 1 1
2.078 Å, I = 31, hkl 0 2 2
2.410 Å, I = 25, hkl 0 1 3
1.843 Å, I = 23, hkl 1 2 2
1.308 Å, I = 21, hkl 1 3 3
2.092 Å, I = 19, hkl 0 0 4

Theoretical XRD peak list of MgCoW2 for Cu Kα, 1.54184 Å, from a structure optimized by DFT (PBE).
Kinematic intensities with the Lorentz-polarization factor, no thermal factor.

Structure:
```
data_MgCoW2
_symmetry_space_group_name_H-M 'P m m m'
_symmetry_Int_Tables_number 47
_cell_length_a 2.691
_cell_length_b 4.215
_cell_length_c 5.267
_cell_angle_alpha 90.00
_cell_angle_beta 90.00
_cell_angle_gamma 90.00
loop_
_symmetry_equiv_pos_as_xyz
'x,y,z'
'-x,-y,-z'
'-x,-y,z'
'x,y,-z'
'x,-y,-z'
'-x,y,z'
'-x,y,-z'
'x,-y,z'
loop_
_atom_site_label
_atom_site_type_symbol
_atom_site_fract_x
_atom_site_fract_y
_atom_site_fract_z
Mg1 Mg 0.000 0.000 0.000
Co1 Co 0.000 0.000 0.500
W1 W 0.500 0.500 0.254
```

Principal peaks in the range 10° ≤ 2θ ≤ 80°, by intensity:
2.268 Å, I = 100, hkl 1 1 0
2.233 Å, I = 95, hkl 0 1 2
4.215 Å, I = 92, hkl 0 1 0
1.882 Å, I = 57, hkl 1 0 2
1.404 Å, I = 48, hkl 1 2 2
2.108 Å, I = 40, hkl 0 2 0
1.719 Å, I = 33, hkl 1 1 2
2.691 Å, I = 30, hkl 1 0 0
2.633 Å, I = 28, hkl 0 0 2
1.659 Å, I = 15, hkl 1 2 0

Theoretical XRD peak list of MgCoW2 for Cu Kα, 1.54184 Å, from a structure optimized by DFT (PBE).
Kinematic intensities with the Lorentz-polarization factor, no thermal factor.

Structure:
```
data_MgCoW2
_symmetry_space_group_name_H-M 'I m m 2'
_symmetry_Int_Tables_number 44
_cell_length_a 3.117
_cell_length_b 4.574
_cell_length_c 8.519
_cell_angle_alpha 90.00
_cell_angle_beta 90.00
_cell_angle_gamma 90.00
loop_
_symmetry_equiv_pos_as_xyz
'x,y,z'
'-x,-y,z'
'-x,y,z'
'x,-y,z'
'x+1/2,y+1/2,z+1/2'
'-x+1/2,-y+1/2,z+1/2'
'-x+1/2,y+1/2,z+1/2'
'x+1/2,-y+1/2,z+1/2'
loop_
_atom_site_label
_atom_site_type_symbol
_atom_site_fract_x
_atom_site_fract_y
_atom_site_fract_z
Mg1 Mg 0.000 0.000 0.000
Co1 Co 0.000 0.500 0.255
W1 W 0.000 0.000 0.524
W2 W 0.000 0.500 0.780
```

Principal peaks in the range 10° ≤ 2θ ≤ 80°, by intensity:
2.204 Å, I = 100, hkl 1 1 2
4.030 Å, I = 51, hkl 0 1 1
2.287 Å, I = 28, hkl 0 2 0
1.559 Å, I = 25, hkl 2 0 0
2.130 Å, I = 22, hkl 0 0 4
2.927 Å, I = 19, hkl 1 0 1
1.304 Å, I = 18, hkl 1 3 2
1.243 Å, I = 14, hkl 1 1 6
2.099 Å, I = 11, hkl 1 0 3
2.413 Å, I = 10, hkl 0 1 3

Theoretical XRD peak list of Y11Mg9Co4 for Cu Kα, 1.54184 Å, from a structure optimized by DFT (PBE).
Kinematic intensities with the Lorentz-polarization factor, no thermal factor.

Structure:
```
data_Y11Mg9Co4
_symmetry_space_group_name_H-M 'C m m m'
_symmetry_Int_Tables_number 65
_symmetry_space_group_name_Hall '-C 2 2'
_cell_length_a 14.452
_cell_length_b 21.997
_cell_length_c 3.667
_cell_angle_alpha 90.00
_cell_angle_beta 90.00
_cell_angle_gamma 90.00
loop_
_atom_site_label
_atom_site_type_symbol
_atom_site_fract_x
_atom_site_fract_y
_atom_site_fract_z
Y1 Y 0.000 0.000 0.000
Y2 Y 0.000 0.157 0.000
Y3 Y 0.000 0.372 0.000
Y4 Y 0.190 0.500 0.000
Y5 Y 0.244 0.337 0.000
Mg1 Mg 0.000 0.500 0.500
Mg2 Mg 0.107 0.259 0.500
Mg3 Mg 0.147 0.071 0.500
Co1 Co 0.143 0.403 0.500
```

Principal peaks in the range 10° ≤ 2θ ≤ 80°, by intensity:
2.573 Å, I = 100, hkl 4 0 1
2.593 Å, I = 57, hkl 0 6 1
2.432 Å, I = 24, hkl 3 5 1
3.667 Å, I = 23, hkl 0 0 1
1.493 Å, I = 21, hkl 4 6 2
1.833 Å, I = 20, hkl 0 0 2
4.706 Å, I = 19, hkl 3 1 0
2.331 Å, I = 16, hkl 4 4 1
5.499 Å, I = 14, hkl 0 4 0
3.613 Å, I = 9, hkl 4 0 0